1.
This entry pairs a crystal structure of Cs2NpCo2S6 with its computed powder XRD pattern. Radiation: Cu Kα (weighted mean of Kα1 and Kα2). Structure: a crystal structure in Alexandria, relaxed with GGA-PBE.
Lines closer than 0.1° are merged.

Crystal structure
```
Cs2NpCo2S6
1.0
6.266 -3.618 0.000
6.266 3.618 0.000
-4.183 0.000 6.431
Cs Np Co S
2 1 2 6
Cartesian
2.086 0.000 1.349 Cs
6.263 0.000 5.081 Cs
-2.092 0.000 3.215 Np
2.086 0.000 5.212 Co
6.263 0.000 1.218 Co
0.000 0.000 4.691 S
3.129 1.807 4.690 S
5.220 1.807 1.741 S
3.129 -1.807 4.690 S
5.220 -1.807 1.741 S
8.349 0.000 1.740 S
```

Principal peaks in the range 2θ = 5–70°, low angle first:
2θ 14.9, intensity 19
2θ 23.3, intensity 62
2θ 24.6, intensity 100
2θ 27.1, intensity 42
2θ 34.1, intensity 65
2θ 42.5, intensity 27
2θ 43.3, intensity 23
2θ 44.9, intensity 22
2θ 49.4, intensity 30
2θ 50.4, intensity 30

***

2.
This entry pairs a crystal structure of CsNpCoS4 with its computed powder XRD pattern. Radiation: Cu Kα (weighted mean of Kα1 and Kα2). Structure: a crystal structure in Alexandria, relaxed with GGA-PBE.
Lines closer than 0.1° are merged.

Crystal structure
```
CsNpCoS4
1.0
6.306 0.000 0.000
0.000 5.920 0.000
-2.714 0.000 9.040
Cs Np Co S
2 2 2 8
Cartesian
1.429 1.480 0.423 Cs
2.163 4.440 8.616 Cs
0.101 1.480 4.952 Np
3.492 4.440 4.088 Np
0.455 4.440 3.280 Co
3.137 1.480 5.760 Co
-1.739 3.022 6.194 S
-1.739 5.857 6.194 S
2.173 4.440 1.913 S
1.191 4.440 5.276 S
2.401 1.480 3.764 S
1.419 1.480 7.126 S
5.332 0.063 2.846 S
5.332 2.897 2.846 S
```

Principal peaks in the range 2θ = 5–70°, low angle first:
2θ 9.8, intensity 100
2θ 19.6, intensity 31
2θ 21.0, intensity 76
2θ 24.8, intensity 33
2θ 25.8, intensity 45
2θ 30.2, intensity 39
2θ 30.5, intensity 30
2θ 31.8, intensity 56
2θ 36.3, intensity 27
2θ 42.8, intensity 51